# KSmTe2
Theoretical X-ray powder pattern, Cu Kα X-rays. Input: a PBE-relaxed structure.
Lines closer than 0.1° are merged.

Most intense lines, 2θ from 10° to 80°, by angle:
10.7 deg, rel. 398; 26.7 deg, rel. 1000; 33.9 deg, rel. 168; 36.8 deg, rel. 355; 39.4 deg, rel. 371; 40.9 deg, rel. 99; 46.3 deg, rel. 114; 48.2 deg, rel. 194; 55.0 deg, rel. 109; 60.4 deg, rel. 120; 63.9 deg, rel. 164; 69.7 deg, rel. 106

Atomic structure:
```
4
Lattice="2.288 1.321 8.264 -2.288 1.321 8.264 0.000 -2.642 8.264" Properties=species:S:1:pos:R:3 pbc="T T T"
K 0.000 0.000 0.000
Sm 0.000 0.000 12.396
Te 0.000 0.000 5.885
Te 0.000 0.000 18.907
```